Starting from the GGA-PBE geometry in Alexandria, the X-ray diffraction stick pattern of Np3Pa4Se8 was computed for Cu Kα X-rays.
Intensities are scaled so that the largest is 100.

Crystal structure
```
Np3Pa4Se8
1.0
5.727 -5.734 0.000
5.727 5.734 0.000
-5.699 0.000 5.731
Np Pa Se
3 4 8
Cartesian
0.000 0.000 0.000 Np
2.863 2.867 0.000 Np
2.863 -2.867 0.000 Np
-2.849 0.000 2.865 Pa
0.014 2.867 2.865 Pa
0.014 -2.867 2.865 Pa
5.727 0.000 0.000 Pa
5.727 2.875 0.000 Se
2.875 0.000 0.089 Se
2.877 2.768 2.865 Se
0.131 0.000 2.862 Se
5.623 0.000 2.869 Se
2.877 -2.768 2.865 Se
2.879 0.000 5.642 Se
5.727 -2.875 0.000 Se
```

Top 10 peaks for 10° ≤ 2θ ≤ 90°, by angle:
| d/Å | I (rel.) |
| --- | --- |
| 3.308 | 35 |
| 2.865 | 100 |
| 2.028 | 38 |
| 2.026 | 25 |
| 2.020 | 12 |
| 1.657 | 13 |
| 1.652 | 13 |
| 1.433 | 12 |
| 1.282 | 23 |
| 1.171 | 13 |